No. 1
This entry pairs a crystal structure of La3TbHo4 with its calculated powder XRD pattern. Radiation: Cu Ka. Structure: the GGA-PBE geometry in Alexandria.
Neutral-atom scattering factors, no anomalous dispersion.

Largest 10 diffraction maxima, in order of rising 2θ, 5 to 70 degrees two-theta:
28.14 deg, intensity 24, hkl 0 2 1; 30.84 deg, intensity 25, hkl 4 0 0; 32.17 deg, intensity 100, hkl 2 0 2; 42.24 deg, intensity 16, hkl 4 2 1; 49.72 deg, intensity 7, hkl 0 4 0; 49.85 deg, intensity 13, hkl 0 2 3; 55.70 deg, intensity 21, hkl 6 0 2; 59.66 deg, intensity 8, hkl 4 4 0; 59.77 deg, intensity 15, hkl 4 2 3; 60.49 deg, intensity 11, hkl 2 4 2

Structure:
Lattice parameters (Å, degrees): 11.596 7.335 6.332 90.00 90.00 90.00
Space group Pmn2_1 (No. 31)
Symmetry-distinct sites (fractional):
La: 0.000 0.128 0.000 [2 per cell]
La: 0.250 0.125 0.332 [4 per cell]
Tb: 0.000 0.868 0.498 [2 per cell]
Ho: 0.000 0.379 0.498 [2 per cell]
Ho: 0.000 0.622 0.001 [2 per cell]
Ho: 0.248 0.620 0.333 [4 per cell]

---

No. 2
This entry pairs a crystal structure of InPb4Au5 with its calculated powder XRD pattern. Radiation: Cu Ka. Structure: the GGA-PBE geometry in Alexandria.
Neutral-atom scattering factors, no anomalous dispersion.

Largest 10 diffraction maxima, in order of rising 2θ, 5 to 70 degrees two-theta:
27.14 deg, intensity 80, hkl 0 2 -1; 32.64 deg, intensity 100, hkl 0 1 2; 33.35 deg, intensity 50, hkl 2 0 0; 33.75 deg, intensity 57, hkl 2 0 -1; 34.72 deg, intensity 61, hkl 1 -2 2; 37.26 deg, intensity 46, hkl 0 1 -3; 37.53 deg, intensity 55, hkl 2 -2 0; 37.86 deg, intensity 76, hkl 1 2 -2; 40.94 deg, intensity 51, hkl -2 1 2; 41.17 deg, intensity 46, hkl 1 -3 0

Structure:
Lattice parameters (Å, degrees): 5.601 6.866 7.293 104.84 95.35 103.47
Space group P1 (No. 1)
Symmetry-distinct sites (fractional):
In: 0.000 0.000 0.000 [1 per cell]
Pb: 0.141 0.708 0.567 [1 per cell]
Pb: 0.235 0.346 0.779 [1 per cell]
Pb: 0.573 0.178 0.386 [1 per cell]
Pb: 0.585 0.609 0.239 [1 per cell]
Au: 0.041 0.043 0.396 [1 per cell]
Au: 0.081 0.651 0.115 [1 per cell]
Au: 0.466 0.889 0.973 [1 per cell]
Au: 0.688 0.901 0.632 [1 per cell]
Au: 0.718 0.283 0.922 [1 per cell]

---

No. 3
This entry pairs a crystal structure of LiMg4Pb with its calculated powder XRD pattern. Radiation: Cu Ka. Structure: the GGA-PBE geometry in Alexandria.
Neutral-atom scattering factors, no anomalous dispersion.

Largest 10 diffraction maxima, in order of rising 2θ, 5 to 70 degrees two-theta:
17.12 deg, intensity 100, hkl 1 1 1; 19.80 deg, intensity 54, hkl 0 2 2; 22.53 deg, intensity 58, hkl 1 1 3; 29.59 deg, intensity 30, hkl 1 3 1; 30.01 deg, intensity 44, hkl 2 0 2; 30.73 deg, intensity 27, hkl 1 1 5; 34.14 deg, intensity 25, hkl 0 4 0; 35.63 deg, intensity 42, hkl 0 2 6; 39.21 deg, intensity 55, hkl 2 2 4; 46.08 deg, intensity 28, hkl 2 4 2

Structure:
Lattice parameters (Å, degrees): 6.346 10.505 17.230 90.00 90.00 90.00
Space group Fddd (No. 70, origin choice 2)
Symmetry-distinct sites (fractional):
Li: 0.125 0.125 0.125 [8 per cell]
Mg: 0.120 0.371 0.219 [32 per cell]
Pb: 0.125 0.125 0.625 [8 per cell]

---

No. 4
This entry pairs a crystal structure of Nd8C3S4N with its calculated powder XRD pattern. Radiation: Cu Ka. Structure: the GGA-PBE geometry in Alexandria.
Neutral-atom scattering factors, no anomalous dispersion.

Largest 10 diffraction maxima, in order of rising 2θ, 5 to 70 degrees two-theta:
26.99 deg, intensity 26, hkl 0 0 6; 28.14 deg, intensity 79, hkl 2 0 2; 32.28 deg, intensity 100, hkl 0 2 4; 35.09 deg, intensity 12, hkl 2 0 5; 45.55 deg, intensity 30, hkl 2 0 8; 47.03 deg, intensity 37, hkl 2 2 0; 55.06 deg, intensity 21, hkl 2 2 6; 55.69 deg, intensity 16, hkl 0 4 2; 58.18 deg, intensity 24, hkl 4 0 4; 67.53 deg, intensity 16, hkl 0 4 8

Structure:
Lattice parameters (Å, degrees): 7.7288 7.7288 19.8233 90.00 90.00 120.00
Space group R-3m (No. 166, hexagonal axes)
Symmetry-distinct sites (fractional):
Nd: 0.0000 0.0000 0.2396 [6 per cell]
Nd: 0.9998 0.4999 0.2382 [18 per cell]
C: 0.0000 0.5000 0.5000 [9 per cell]
S: 0.0000 0.0000 0.0000 [3 per cell]
S: 0.0000 0.5000 0.0000 [9 per cell]
N: 0.0000 0.0000 0.5000 [3 per cell]

---

No. 5
This entry pairs a crystal structure of Ba9NaRh3 with its calculated powder XRD pattern. Radiation: Cu Ka. Structure: the GGA-PBE geometry in Alexandria.
Neutral-atom scattering factors, no anomalous dispersion.

Largest 10 diffraction maxima, in order of rising 2θ, 5 to 70 degrees two-theta:
13.51 deg, intensity 29, hkl 1 0 1; 14.79 deg, intensity 35, hkl 0 2 0; 24.93 deg, intensity 100, hkl 1 3 0; 25.32 deg, intensity 40, hkl 1 1 3; 29.83 deg, intensity 20, hkl 0 4 0; 35.11 deg, intensity 20, hkl 1 0 -5; 35.23 deg, intensity 18, hkl 2 2 3; 38.22 deg, intensity 20, hkl 3 2 -2; 41.94 deg, intensity 21, hkl 1 0 -6; 45.63 deg, intensity 19, hkl 2 3 -5

Structure:
Lattice parameters (Å, degrees): 8.056 11.979 13.109 90.00 95.53 90.00
Space group P2_1/m (No. 11)
Symmetry-distinct sites (fractional):
Ba: 0.056 0.250 0.202 [2 per cell]
Ba: 0.163 0.565 0.376 [4 per cell]
Ba: 0.184 0.250 0.845 [2 per cell]
Ba: 0.235 0.551 0.043 [4 per cell]
Ba: 0.351 0.553 0.700 [4 per cell]
Ba: 0.369 0.250 0.515 [2 per cell]
Na: 0.480 0.250 0.090 [2 per cell]
Rh: 0.053 0.004 0.823 [4 per cell]
Rh: 0.500 0.000 0.500 [2 per cell]

---

No. 6
This entry pairs a crystal structure of TbThZnRh with its calculated powder XRD pattern. Radiation: Cu Ka. Structure: the GGA-PBE geometry in Alexandria.
Neutral-atom scattering factors, no anomalous dispersion.

Largest 10 diffraction maxima, in order of rising 2θ, 5 to 70 degrees two-theta:
21.56 deg, intensity 4, hkl 1 1 1; 24.94 deg, intensity 16, hkl 2 0 0; 35.57 deg, intensity 100, hkl 2 2 0; 41.97 deg, intensity 2, hkl 3 1 1; 43.93 deg, intensity 5, hkl 2 2 2; 51.18 deg, intensity 18, hkl 4 0 0; 56.15 deg, intensity 1, hkl 3 3 1; 57.75 deg, intensity 7, hkl 4 2 0; 63.87 deg, intensity 36, hkl 4 2 2; 68.26 deg, intensity 1, hkl 5 1 1

Structure:
Lattice parameters (Å, degrees): 7.140 7.140 7.140 90.00 90.00 90.00
Space group F-43m (No. 216)
Symmetry-distinct sites (fractional):
Tb: 0.000 0.000 0.000 [4 per cell]
Th: 0.000 0.000 0.500 [4 per cell]
Zn: 0.250 0.250 0.750 [4 per cell]
Rh: 0.250 0.250 0.250 [4 per cell]

---

No. 7
This entry pairs a crystal structure of ThAl12Cu4 with its calculated powder XRD pattern. Radiation: Cu Ka. Structure: the GGA-PBE geometry in Alexandria.
Neutral-atom scattering factors, no anomalous dispersion.

Largest 10 diffraction maxima, in order of rising 2θ, 5 to 70 degrees two-theta:
14.57 deg, intensity 94, hkl 1 1 0; 25.38 deg, intensity 62, hkl 2 1 1; 29.38 deg, intensity 100, hkl 2 2 0; 32.94 deg, intensity 86, hkl 3 1 0; 39.21 deg, intensity 84, hkl 3 2 1; 42.04 deg, intensity 23, hkl 4 0 0; 52.11 deg, intensity 73, hkl 4 2 2; 54.41 deg, intensity 46, hkl 4 1 3; 67.11 deg, intensity 18, hkl 5 3 2; 69.10 deg, intensity 24, hkl 6 0 2

Structure:
Lattice parameters (Å, degrees): 8.598 8.598 8.598 90.00 90.00 90.00
Space group Im-3 (No. 204)
Symmetry-distinct sites (fractional):
Th: 0.000 0.000 0.000 [2 per cell]
Al: 0.000 0.165 0.344 [24 per cell]
Cu: 0.250 0.250 0.250 [8 per cell]

---

No. 8
This entry pairs a crystal structure of DyErO3 with its calculated powder XRD pattern. Radiation: Cu Ka. Structure: the GGA-PBE geometry in Alexandria.
Neutral-atom scattering factors, no anomalous dispersion.

Largest 10 diffraction maxima, in order of rising 2θ, 5 to 70 degrees two-theta:
28.14 deg, intensity 47, hkl 0 0 4; 28.80 deg, intensity 67, hkl 1 1 1; 31.33 deg, intensity 100, hkl 1 1 2; 35.19 deg, intensity 21, hkl 1 1 3; 45.65 deg, intensity 21, hkl 1 1 5; 49.38 deg, intensity 41, hkl 3 0 0; 51.84 deg, intensity 26, hkl 1 1 6; 57.80 deg, intensity 38, hkl 3 0 4; 58.17 deg, intensity 13, hkl 0 0 8; 59.65 deg, intensity 17, hkl 2 2 2

Structure:
Lattice parameters (Å, degrees): 6.3939 6.3939 12.6863 90.00 90.00 120.00
Space group P6_3cm (No. 185)
Symmetry-distinct sites (fractional):
Dy: 0.0000 0.0000 0.0000 [2 per cell]
Dy: 0.3333 0.6667 0.4662 [4 per cell]
Er: 0.0000 0.3331 0.2311 [6 per cell]
O: 0.0000 0.0000 0.1971 [2 per cell]
O: 0.0000 0.3051 0.4043 [6 per cell]
O: 0.0000 0.3646 0.0596 [6 per cell]
O: 0.3333 0.6667 0.2588 [4 per cell]

---

No. 9
This entry pairs a crystal structure of SrAl2OsO8 with its calculated powder XRD pattern. Radiation: Cu Ka. Structure: the GGA-PBE geometry in Alexandria.
Neutral-atom scattering factors, no anomalous dispersion.

Largest 10 diffraction maxima, in order of rising 2θ, 5 to 70 degrees two-theta:
13.63 deg, intensity 61, hkl 0 1 0; 18.74 deg, intensity 75, hkl 0 0 1; 20.23 deg, intensity 68, hkl 1 0 0; 27.30 deg, intensity 100, hkl 1 0 -1; 27.45 deg, intensity 42, hkl 0 2 0; 28.12 deg, intensity 72, hkl 1 0 1; 33.45 deg, intensity 60, hkl 0 2 1; 34.34 deg, intensity 87, hkl 1 2 0; 39.70 deg, intensity 57, hkl 1 2 1; 53.54 deg, intensity 38, hkl 2 2 -1

Structure:
Lattice parameters (Å, degrees): 4.392 6.498 4.737 90.00 91.66 90.00
Space group P2/m (No. 10)
Symmetry-distinct sites (fractional):
Sr: 0.000 0.000 0.000 [1 per cell]
Al: 0.500 0.266 0.500 [2 per cell]
Os: 0.000 0.500 0.000 [1 per cell]
O: 0.253 0.300 0.175 [4 per cell]
O: 0.268 0.500 0.672 [2 per cell]
O: 0.278 0.000 0.552 [2 per cell]

---

No. 10
This entry pairs a crystal structure of LaNdNi17 with its calculated powder XRD pattern. Radiation: Cu Ka. Structure: the GGA-PBE geometry in Alexandria.
Neutral-atom scattering factors, no anomalous dispersion.

Largest 10 diffraction maxima, in order of rising 2θ, 5 to 70 degrees two-theta:
30.68 deg, intensity 32, hkl 1 1 3; 37.15 deg, intensity 39, hkl 3 0 0; 38.63 deg, intensity 29, hkl 0 2 4; 43.16 deg, intensity 67, hkl 2 2 0; 43.55 deg, intensity 100, hkl 3 0 3; 44.48 deg, intensity 16, hkl 2 1 4; 44.72 deg, intensity 34, hkl 0 0 6; 44.86 deg, intensity 16, hkl 2 0 5; 48.92 deg, intensity 30, hkl 2 2 3; 63.90 deg, intensity 17, hkl 2 2 6

Structure:
Lattice parameters (Å, degrees): 8.3843 8.3843 12.1580 90.00 90.00 120.00
Space group R3m (No. 160, hexagonal axes)
Symmetry-distinct sites (fractional):
La: 0.0000 0.0000 0.0000 [3 per cell]
Nd: 0.0000 0.0000 0.6815 [3 per cell]
Ni: 0.0000 0.0000 0.2435 [3 per cell]
Ni: 0.0000 0.0000 0.4399 [3 per cell]
Ni: 0.0002 0.2886 0.3416 [18 per cell]
Ni: 0.0038 0.5019 0.1860 [9 per cell]
Ni: 0.1672 0.3343 0.1752 [9 per cell]
Ni: 0.1685 0.3369 0.8297 [9 per cell]

---

No. 11
This entry pairs a crystal structure of Li12MgPd7 with its calculated powder XRD pattern. Radiation: Cu Ka. Structure: the GGA-PBE geometry in Alexandria.
Neutral-atom scattering factors, no anomalous dispersion.

Largest 10 diffraction maxima, in order of rising 2θ, 5 to 70 degrees two-theta:
16.58 deg, intensity 100, hkl 1 1 0; 21.68 deg, intensity 66, hkl 0 2 1; 22.33 deg, intensity 63, hkl 0 1 2; 32.66 deg, intensity 35, hkl 1 2 2; 36.43 deg, intensity 95, hkl 1 3 1; 40.27 deg, intensity 34, hkl 4 0 1; 40.65 deg, intensity 53, hkl 3 1 2; 42.13 deg, intensity 44, hkl 1 0 4; 42.46 deg, intensity 62, hkl 3 0 3; 55.15 deg, intensity 26, hkl 4 1 3

Structure:
Lattice parameters (Å, degrees): 10.6943 10.6943 8.8187 90.00 90.00 120.00
Space group R-3m (No. 166, hexagonal axes)
Symmetry-distinct sites (fractional):
Li: 0.0000 0.2610 0.0000 [18 per cell]
Li: 0.0636 0.5318 0.1182 [18 per cell]
Mg: 0.0000 0.0000 0.0000 [3 per cell]
Pd: 0.0000 0.0000 0.5000 [3 per cell]
Pd: 0.0907 0.1815 0.7551 [18 per cell]

---

No. 12
This entry pairs a crystal structure of Er7TlCo5 with its calculated powder XRD pattern. Radiation: Cu Ka. Structure: the GGA-PBE geometry in Alexandria.
Neutral-atom scattering factors, no anomalous dispersion.

Largest 10 diffraction maxima, in order of rising 2θ, 5 to 70 degrees two-theta:
30.68 deg, intensity 49, hkl 1 3 0; 32.16 deg, intensity 100, hkl 1 0 3; 36.00 deg, intensity 34, hkl 1 3 2; 36.74 deg, intensity 19, hkl 2 2 0; 38.41 deg, intensity 32, hkl 0 3 3; 39.79 deg, intensity 14, hkl 0 4 2; 41.39 deg, intensity 28, hkl 2 2 2; 50.95 deg, intensity 18, hkl 2 3 3; 57.33 deg, intensity 15, hkl 0 0 6; 63.87 deg, intensity 28, hkl 2 6 0

Structure:
Lattice parameters (Å, degrees): 5.564 10.265 9.648 90.00 90.00 90.00
Space group Imm2 (No. 44)
Symmetry-distinct sites (fractional):
Er: 0.000 0.000 0.000 [2 per cell]
Er: 0.000 0.000 0.356 [2 per cell]
Er: 0.000 0.313 0.629 [4 per cell]
Er: 0.000 0.340 0.026 [4 per cell]
Er: 0.000 0.500 0.322 [2 per cell]
Tl: 0.000 0.000 0.681 [2 per cell]
Co: 0.000 0.500 0.813 [2 per cell]
Co: 0.220 0.279 0.356 [8 per cell]

---

Copy entry 4 word for word.
This entry pairs a crystal structure of Nd8C3S4N with its calculated powder XRD pattern. Radiation: Cu Ka. Structure: the GGA-PBE geometry in Alexandria.
Neutral-atom scattering factors, no anomalous dispersion.

Largest 10 diffraction maxima, in order of rising 2θ, 5 to 70 degrees two-theta:
26.99 deg, intensity 26, hkl 0 0 6; 28.14 deg, intensity 79, hkl 2 0 2; 32.28 deg, intensity 100, hkl 0 2 4; 35.09 deg, intensity 12, hkl 2 0 5; 45.55 deg, intensity 30, hkl 2 0 8; 47.03 deg, intensity 37, hkl 2 2 0; 55.06 deg, intensity 21, hkl 2 2 6; 55.69 deg, intensity 16, hkl 0 4 2; 58.18 deg, intensity 24, hkl 4 0 4; 67.53 deg, intensity 16, hkl 0 4 8

Structure:
Lattice parameters (Å, degrees): 7.7288 7.7288 19.8233 90.00 90.00 120.00
Space group R-3m (No. 166, hexagonal axes)
Symmetry-distinct sites (fractional):
Nd: 0.0000 0.0000 0.2396 [6 per cell]
Nd: 0.9998 0.4999 0.2382 [18 per cell]
C: 0.0000 0.5000 0.5000 [9 per cell]
S: 0.0000 0.0000 0.0000 [3 per cell]
S: 0.0000 0.5000 0.0000 [9 per cell]
N: 0.0000 0.0000 0.5000 [3 per cell]